# MgFeCo2O6
Simulated XRD peak list, λ = 1.5418 Å (Cu Kα). Input: the GGA+U geometry in the Materials Project.
Kinematic intensities with the Lorentz-polarization factor, no thermal factor.

Top 12 peaks for 2θ = 10–90°, in order of falling intensity:
| 2θ (°) | d [Å] | I_rel | index |
| --- | --- | --- | --- |
| 18.42 | 4.817 | 100 | 0 1 1 |
| 36.93 | 2.434 | 26 | 1 1 0 |
| 37.02 | 2.428 | 26 | 1 -1 1 |
| 40.55 | 2.225 | 23 | 0 0 3 |
| 45.88 | 1.978 | 21 | 1 -2 0 |
| 35.68 | 2.516 | 18 | 0 1 -2 |
| 27.43 | 3.251 | 17 | 0 1 2 |
| 45.73 | 1.984 | 16 | 1 2 1 |
| 47.04 | 1.932 | 16 | 1 2 2 |
| 64.96 | 1.436 | 11 | 1 1 -3 |
| 64.27 | 1.449 | 10 | 2 0 1 |
| 52.77 | 1.735 | 7 | 0 1 4 |

Atomic structure:
```
data_MgFeCo2O6
_symmetry_space_group_name_H-M 'P 1'
_symmetry_Int_Tables_number 1
_symmetry_space_group_name_Hall 'P 1'
_cell_length_a 2.898
_cell_length_b 5.448
_cell_length_c 7.093
_cell_angle_alpha 74.25
_cell_angle_beta 78.27
_cell_angle_gamma 89.85
loop_
_atom_site_label
_atom_site_type_symbol
_atom_site_fract_x
_atom_site_fract_y
_atom_site_fract_z
Mg1 Mg 0.000 0.000 0.000
Fe1 Fe 0.927 0.437 0.147
Co1 Co 0.278 0.028 0.444
Co2 Co 0.620 0.646 0.758
O1 O 0.077 0.411 0.845
O2 O 0.135 0.897 0.725
O3 O 0.423 0.157 0.157
O4 O 0.464 0.699 0.069
O5 O 0.774 0.802 0.450
O6 O 0.783 0.260 0.436
```